(1)
Starting from the PBE geometry in Alexandria, the powder diffractogram of GaPd2Pt3 was calculated for Cu Kα X-rays.
Lines closer than 0.1° are merged.

```
GaPd2Pt3
1.0
2.448 -4.243 0.000
2.448 4.243 0.000
-1.642 0.000 8.888
Ga Pd Pt
2 4 6
direct
0.167 0.833 0.000
0.833 0.167 0.000
0.000 0.000 0.500
0.334 0.666 0.500
0.500 0.500 0.000
0.666 0.334 0.500
0.079 0.421 0.760
0.238 0.238 0.240
0.421 0.079 0.760
0.579 0.921 0.240
0.762 0.762 0.760
0.921 0.579 0.240
```

Peak list (10 most intense, 10 to 90 degrees two-theta, low angle first)
| 2θ (°) | I_rel |
| --- | --- |
| 20.0 | 18.4 |
| 37.3 | 12.3 |
| 39.2 | 100.0 |
| 40.6 | 30.3 |
| 46.0 | 62.7 |
| 66.1 | 14.3 |
| 68.1 | 18.4 |
| 79.6 | 12.6 |
| 80.5 | 16.0 |
| 84.3 | 11.0 |


(2)
Starting from the PBE geometry in Alexandria, the powder diffractogram of NaErTe4 was calculated for Cu Kα X-rays.
Lines closer than 0.1° are merged.

```
NaErTe4
1.0
6.784 0.000 0.000
0.000 6.784 0.000
0.000 0.000 8.174
Na Er Te
2 2 8
direct
0.250 0.250 0.000
0.750 0.750 0.000
0.250 0.250 0.500
0.750 0.750 0.500
0.102 0.602 0.274
0.102 0.898 0.726
0.398 0.602 0.726
0.398 0.898 0.274
0.602 0.102 0.726
0.602 0.398 0.274
0.898 0.102 0.274
0.898 0.398 0.726
```

Peak list (10 most intense, 10 to 90 degrees two-theta, low angle first)
| 2θ (°) | I_rel |
| --- | --- |
| 10.8 | 48.2 |
| 21.7 | 18.3 |
| 28.7 | 57.9 |
| 31.5 | 100.0 |
| 34.4 | 29.2 |
| 42.1 | 34.6 |
| 44.7 | 31.2 |
| 59.0 | 20.0 |
| 62.4 | 17.9 |
| 62.8 | 16.8 |


(3)
Starting from the PBE geometry in Alexandria, the powder diffractogram of LiAc2Ag3Pb4 was calculated for Cu Kα X-rays.
Lines closer than 0.1° are merged.

```
LiAc2Ag3Pb4
1.0
4.782 0.000 0.000
0.000 4.782 0.000
0.000 0.000 12.112
Li Ac Ag Pb
1 2 3 4
direct
0.000 0.000 0.000
0.000 0.500 0.761
0.500 0.000 0.239
0.000 0.500 0.356
0.500 0.000 0.644
0.500 0.500 0.000
0.000 0.000 0.500
0.000 0.500 0.127
0.500 0.000 0.873
0.500 0.500 0.500
```

Peak list (10 most intense, 10 to 90 degrees two-theta, low angle first)
| 2θ (°) | I_rel |
| --- | --- |
| 27.4 | 26.2 |
| 28.9 | 69.1 |
| 30.3 | 100.0 |
| 37.6 | 68.6 |
| 40.0 | 23.0 |
| 41.8 | 36.0 |
| 48.2 | 34.9 |
| 54.3 | 24.0 |
| 57.5 | 28.3 |
| 63.4 | 29.7 |


(4)
Starting from the PBE geometry in Alexandria, the powder diffractogram of CrCu2Se was calculated for Cu Kα X-rays.
Lines closer than 0.1° are merged.

```
CrCu2Se
1.0
5.035 0.000 0.000
0.000 9.687 0.000
-2.357 0.000 2.534
Cr Cu Se
2 4 2
direct
0.000 0.000 0.000
0.500 0.500 0.000
0.250 0.250 0.000
0.250 0.750 0.000
0.750 0.250 0.000
0.750 0.750 0.000
0.000 0.500 0.000
0.500 0.000 0.000
```

Peak list (10 most intense, 10 to 90 degrees two-theta, low angle first)
| 2θ (°) | I_rel |
| --- | --- |
| 35.4 | 73.2 |
| 37.1 | 64.1 |
| 40.4 | 100.0 |
| 52.3 | 45.4 |
| 53.2 | 42.9 |
| 56.5 | 35.4 |
| 69.2 | 18.4 |
| 78.8 | 12.7 |
| 81.5 | 11.4 |
| 86.1 | 9.9 |


(5)
Starting from the PBE geometry in Alexandria, the powder diffractogram of BaAlH was calculated for Cu Kα X-rays.
Lines closer than 0.1° are merged.

```
BaAlH
1.0
4.444 0.000 0.000
0.000 3.501 0.000
0.000 0.000 8.868
Ba Al H
2 2 2
direct
0.250 0.000 0.184
0.750 0.000 0.816
0.250 0.500 0.564
0.750 0.500 0.436
0.250 0.500 0.912
0.750 0.500 0.088
```

Peak list (10 most intense, 10 to 90 degrees two-theta, low angle first)
| 2θ (°) | I_rel |
| --- | --- |
| 20.0 | 26.0 |
| 22.4 | 99.3 |
| 25.4 | 32.1 |
| 27.4 | 30.1 |
| 28.4 | 61.5 |
| 30.2 | 35.7 |
| 32.6 | 38.5 |
| 34.1 | 100.0 |
| 38.5 | 25.1 |
| 53.0 | 58.6 |


(6)
Starting from the PBE geometry in Alexandria, the powder diffractogram of Gd4HPt2 was calculated for Cu Kα X-rays.
Lines closer than 0.1° are merged.

```
Gd4HPt2
1.0
4.564 0.000 0.000
0.000 4.564 0.000
0.000 0.000 15.317
Gd H Pt
8 2 4
direct
0.000 0.000 0.185
0.000 0.000 0.815
0.000 0.500 0.000
0.000 0.500 0.500
0.500 0.000 0.000
0.500 0.000 0.500
0.500 0.500 0.315
0.500 0.500 0.685
0.000 0.000 0.500
0.500 0.500 0.000
0.000 0.000 0.364
0.000 0.000 0.636
0.500 0.500 0.136
0.500 0.500 0.864
```

Peak list (10 most intense, 10 to 90 degrees two-theta, low angle first)
| 2θ (°) | I_rel |
| --- | --- |
| 27.6 | 27.7 |
| 30.0 | 100.0 |
| 35.2 | 24.8 |
| 35.3 | 38.3 |
| 36.4 | 88.5 |
| 39.5 | 73.8 |
| 53.9 | 52.4 |
| 57.1 | 25.4 |
| 65.9 | 21.5 |
| 69.6 | 27.1 |


(7)
Starting from the PBE geometry in Alexandria, the powder diffractogram of Ho2PuPd3 was calculated for Cu Kα X-rays.
Lines closer than 0.1° are merged.

```
Ho2PuPd3
1.0
3.452 0.000 0.000
0.000 3.452 0.000
0.000 0.000 10.809
Ho Pu Pd
2 1 3
direct
0.000 0.000 0.166
0.000 0.000 0.834
0.000 0.000 0.500
0.500 0.500 0.000
0.500 0.500 0.318
0.500 0.500 0.682
```

Peak list (10 most intense, 10 to 90 degrees two-theta, low angle first)
| 2θ (°) | I_rel |
| --- | --- |
| 25.8 | 8.1 |
| 36.0 | 100.0 |
| 36.8 | 48.1 |
| 50.7 | 9.0 |
| 53.1 | 16.9 |
| 64.3 | 17.5 |
| 65.8 | 34.6 |
| 76.4 | 10.6 |
| 89.4 | 7.9 |
| 89.8 | 8.8 |